Computed PXRD pattern
Compound: Cs6KAgO
Radiation: Cu Kα
Structure: a GGA-PBE-relaxed structure
Kinematic intensities with the Lorentz-polarization factor, no thermal factor.

Structural model:
Unit cell a=11.9506 b=11.9506 c=11.9506 alpha=119.56 beta=118.28 gamma=91.89
Element x y z (fractional)
Cs1 0.0462 0.7962 0.2500
Cs2 0.0465 0.4033 0.1922
Cs3 0.0465 0.8543 0.6433
Cs4 0.2889 0.1457 0.6922
Cs5 0.2889 0.5967 0.1433
Cs6 0.3780 0.1280 0.2500
Cs7 0.6220 0.8720 0.7500
Cs8 0.7111 0.4033 0.8567
Cs9 0.7111 0.8543 0.3078
Cs10 0.9535 0.1457 0.3567
Cs11 0.9535 0.5967 0.8078
Cs12 0.9538 0.2038 0.7500
K1 0.3462 0.5962 0.7500
K2 0.6538 0.4038 0.2500
Ag1 0.0000 0.0000 0.0000
Ag2 0.5000 0.0000 0.5000
O1 0.0000 0.0000 0.5000
O2 0.0000 0.5000 0.0000

Peak list (10 most intense, 10 to 90 degrees two-theta, in order of rising 2θ)
2theta	I_rel
20.7	65
21.4	41
22.8	100
23.0	70
26.1	47
26.9	46
27.1	64
29.7	54
29.9	69
32.8	45


Computed PXRD pattern
Compound: Tb7Ga2Ir2
Radiation: Cu Kα
Structure: a GGA-PBE-relaxed structure
Kinematic intensities with the Lorentz-polarization factor, no thermal factor.

Structural model:
Unit cell a=6.7272 b=6.7272 c=6.9877 alpha=90.00 beta=90.00 gamma=107.28
Element x y z (fractional)
Tb1 0.0000 0.0000 0.0000
Tb2 0.0000 0.5000 0.2588
Tb3 0.0000 0.5000 0.7412
Tb4 0.5000 0.0000 0.2588
Tb5 0.5000 0.0000 0.7412
Tb6 0.5000 0.5000 0.2532
Tb7 0.5000 0.5000 0.7468
Ga1 0.1664 0.1664 0.5000
Ga2 0.8336 0.8336 0.5000
Ir1 0.2906 0.7094 0.0000
Ir2 0.7094 0.2906 0.0000

Peak list (10 most intense, 10 to 90 degrees two-theta, in order of rising 2θ)
2theta	I_rel
12.7	30
25.7	40
27.8	40
29.1	30
33.1	54
34.1	29
37.6	48
38.1	100
45.5	21
57.4	20


Computed PXRD pattern
Compound: CeCu2Cl8
Radiation: Cu Kα
Structure: a GGA-PBE-relaxed structure
Kinematic intensities with the Lorentz-polarization factor, no thermal factor.

Structural model:
Unit cell a=7.6917 b=7.6917 c=7.6917 alpha=128.08 beta=128.08 gamma=76.50
Element x y z (fractional)
Ce1 0.0000 0.0000 0.0000
Cu1 0.2500 0.7500 0.5000
Cu2 0.7500 0.2500 0.5000
Cl1 0.0427 0.5635 0.8439
Cl2 0.1988 0.0427 0.4792
Cl3 0.2804 0.4365 0.4792
Cl4 0.4365 0.9573 0.1561
Cl5 0.5635 0.7196 0.5208
Cl6 0.7196 0.1988 0.1561
Cl7 0.8012 0.2804 0.8439
Cl8 0.9573 0.8012 0.5208

Peak list (10 most intense, 10 to 90 degrees two-theta, in order of rising 2θ)
2theta	I_rel
15.1	90
23.8	100
25.8	18
30.6	50
37.3	41
37.8	26
40.1	62
45.1	40
48.3	14
49.1	16